Structure and theoretical X-ray powder pattern of LaTaMoO6 (the PBE+U geometry in Alexandria; a wavelength of 1.5418 Å).
Kinematic intensities with the Lorentz-polarization factor, no thermal factor.

Peak list (12 most intense, 2θ from 10° to 80°, by angle)
Position (°2θ), Rel. int.
19.88, 9
25.22, 100
32.31, 86
35.97, 25
49.12, 68
51.79, 18
58.45, 17
61.58, 17
62.37, 21
67.63, 10
74.16, 16
79.06, 9

Structure:
Unit cell a=4.993 b=4.993 c=9.990 alpha=90.00 beta=90.00 gamma=90.00
Space group P4_2nm (No. 102)
Inequivalent atoms, fractional coordinates:
1 La 0.000 0.000 0.000 x2
2 Ta 0.000 0.000 0.337 x2
3 Mo 0.000 0.000 0.672 x2
4 O 0.172 0.172 0.499 x4
5 O 0.210 0.210 0.197 x4
6 O 0.220 0.220 0.815 x4